No. 1
For Dy5Y7Ho, a GGA-PBE-relaxed structure gives the theoretical powder diffraction line list in this record (copper Kα).

Unit cell a=8.7024 b=8.7024 c=8.7024 alpha=134.93 beta=100.28 gamma=96.62
Element x y z (fractional)
Dy 0.0000 0.0000 0.0000
Dy 0.2689 0.2276 0.5039
Dy 0.2689 0.7651 0.0414
Dy 0.7237 0.2276 0.9586
Dy 0.7237 0.7651 0.4961
Y 0.0743 0.2472 0.8271
Y 0.3026 0.8026 0.5000
Y 0.4200 0.2472 0.1729
Y 0.4955 0.4955 0.0000
Y 0.5783 0.7471 0.8312
Y 0.9159 0.7471 0.1688
Y 0.9919 0.4919 0.5000
Ho 0.6855 0.1855 0.5000

Top 6 peaks for 2θ from 10° to 90°, most intense first:
2θ (°)	intensity
30.92	100.0
34.97	89.3
31.24	71.5
31.59	63.8
15.31	38.4
57.61	36.1

No. 2
For Dy4YHo2, a GGA-PBE-relaxed structure gives the theoretical powder diffraction line list in this record (copper Kα).

Unit cell a=6.0240 b=8.4136 c=9.8429 alpha=84.81 beta=72.40 gamma=69.07
Element x y z (fractional)
Dy 0.0000 0.0000 0.0000
Dy 0.0320 0.0702 0.6410
Dy 0.0745 0.5666 0.1439
Dy 0.6079 0.3542 0.2120
Dy 0.6466 0.8566 0.7080
Dy 0.6840 0.9265 0.3517
Dy 0.8226 0.4970 0.5000
Dy 0.8610 0.4244 0.8526
Y 0.2561 0.6424 0.7801
Y 0.5409 0.7817 0.0720
Ho 0.1444 0.1414 0.2782
Ho 0.2418 0.7120 0.4260
Ho 0.4224 0.2824 0.5742
Ho 0.4425 0.2119 0.9261

Top 6 peaks for 2θ from 10° to 90°, most intense first:
2θ (°)	intensity
32.59	100.0
30.99	46.2
32.70	33.0
31.19	23.0
29.66	22.3
56.07	14.3

No. 3
For Dy2HoZn3, a GGA-PBE-relaxed structure gives the theoretical powder diffraction line list in this record (copper Kα).

Unit cell a=5.0392 b=5.0392 c=6.1742 alpha=90.00 beta=90.00 gamma=120.00
Element x y z (fractional)
Dy 0.3333 0.6667 0.1678
Dy 0.6667 0.3333 0.8322
Ho 0.0000 0.0000 0.5000
Zn 0.0000 0.0000 0.0000
Zn 0.3333 0.6667 0.6666
Zn 0.6667 0.3333 0.3334

Top 6 peaks for 2θ from 10° to 90°, most intense first:
2θ (°)	intensity
35.63	100.0
63.99	35.6
24.99	18.2
51.27	17.6
86.33	15.7
75.45	10.9

No. 4
For Dy3HoZn8, a GGA-PBE-relaxed structure gives the theoretical powder diffraction line list in this record (copper Kα).

Unit cell a=9.4197 b=9.4197 c=9.4197 alpha=33.72 beta=33.72 gamma=33.72
Element x y z (fractional)
Dy 0.0000 0.0000 0.0000
Dy 0.1247 0.1247 0.1247
Dy 0.5002 0.5002 0.5002
Ho 0.6248 0.6248 0.6248
Zn 0.0625 0.0625 0.5626
Zn 0.0622 0.5624 0.5624
Zn 0.0625 0.5626 0.0625
Zn 0.3125 0.3125 0.3125
Zn 0.5624 0.0622 0.5624
Zn 0.5624 0.5624 0.0622
Zn 0.5626 0.0625 0.0625
Zn 0.8124 0.8124 0.8124

Top 6 peaks for 2θ from 10° to 90°, most intense first:
2θ (°)	intensity
38.68	100.0
32.78	39.4
32.90	39.1
38.81	33.6
62.52	32.0
58.56	22.7

No. 5
For Dy4Ho3Zn4, a GGA-PBE-relaxed structure gives the theoretical powder diffraction line list in this record (copper Kα).

Unit cell a=9.1217 b=9.1217 c=9.1217 alpha=147.66 beta=135.43 gamma=56.13
Element x y z (fractional)
Dy 0.0532 0.8211 0.2321
Dy 0.4110 0.1789 0.2321
Dy 0.5890 0.8211 0.7679
Dy 0.9468 0.1789 0.7679
Ho 0.0000 0.5000 0.5000
Ho 0.3987 0.3987 0.0000
Ho 0.6013 0.6013 0.0000
Zn 0.1810 0.6810 0.5000
Zn 0.3160 0.0000 0.3160
Zn 0.6840 0.0000 0.6840
Zn 0.8190 0.3190 0.5000

Top 6 peaks for 2θ from 10° to 90°, most intense first:
2θ (°)	intensity
31.79	100.0
35.33	52.1
35.58	36.1
31.16	33.7
32.94	30.1
30.63	27.8

No. 6
For Dy15Ho4Zr, a GGA-PBE-relaxed structure gives the theoretical powder diffraction line list in this record (copper Kα).

Unit cell a=4.9839 b=4.9839 c=24.8105 alpha=90.00 beta=90.00 gamma=90.00
Element x y z (fractional)
Dy 0.0000 0.0000 0.0000
Dy 0.0000 0.0000 0.1971
Dy 0.0000 0.0000 0.3990
Dy 0.0000 0.0000 0.6010
Dy 0.0000 0.0000 0.8029
Dy 0.0000 0.5000 0.0942
Dy 0.0000 0.5000 0.2975
Dy 0.0000 0.5000 0.5000
Dy 0.0000 0.5000 0.7025
Dy 0.0000 0.5000 0.9058
Dy 0.5000 0.0000 0.0942
Dy 0.5000 0.0000 0.2975
Dy 0.5000 0.0000 0.5000
Dy 0.5000 0.0000 0.7025
Dy 0.5000 0.0000 0.9058
Ho 0.5000 0.5000 0.1976
Ho 0.5000 0.5000 0.3989
Ho 0.5000 0.5000 0.6011
Ho 0.5000 0.5000 0.8024
Zr 0.5000 0.5000 0.0000

Top 6 peaks for 2θ from 10° to 90°, most intense first:
2θ (°)	intensity
31.13	100.0
36.04	34.2
61.76	28.5
52.01	23.2
36.21	16.2
61.98	13.0

No. 7
For Dy2Ho4Zr, a GGA-PBE-relaxed structure gives the theoretical powder diffraction line list in this record (copper Kα).

Unit cell a=3.5053 b=3.5053 c=19.6204 alpha=90.00 beta=90.00 gamma=60.00
Element x y z (fractional)
Dy 0.0000 0.0000 0.0000
Dy 0.0015 0.0015 0.7093
Ho 0.3339 0.3339 0.8552
Ho 0.3353 0.3353 0.5644
Ho 0.6673 0.6673 0.1491
Ho 0.6683 0.6683 0.4145
Zr 0.0011 0.0011 0.2809

Top 6 peaks for 2θ from 10° to 90°, most intense first:
2θ (°)	intensity
32.52	100.0
34.75	89.7
29.78	48.4
31.93	46.9
62.50	41.1
52.19	38.0

No. 8
For Dy8Ho3Zr, a GGA-PBE-relaxed structure gives the theoretical powder diffraction line list in this record (copper Kα).

Unit cell a=7.0182 b=7.0182 c=7.8169 alpha=103.12 beta=103.12 gamma=89.71
Element x y z (fractional)
Dy 0.1634 0.6734 0.6726
Dy 0.1639 0.1639 0.6759
Dy 0.3269 0.3269 0.3281
Dy 0.3266 0.8366 0.3274
Dy 0.6734 0.1634 0.6726
Dy 0.6731 0.6731 0.6719
Dy 0.8361 0.8361 0.3241
Dy 0.8366 0.3266 0.3274
Ho 0.0000 0.5000 0.0000
Ho 0.5000 0.0000 0.0000
Ho 0.5000 0.5000 0.0000
Zr 0.0000 0.0000 0.0000

Top 6 peaks for 2θ from 10° to 90°, most intense first:
2θ (°)	intensity
31.27	100.0
52.14	17.8
52.32	17.6
36.11	17.0
36.30	16.8
36.40	16.6